Entry 1:
This entry pairs a crystal structure of Cs7Au5O2 with its simulated X-ray diffraction stick pattern. Radiation: Cu Kα (weighted mean of Kα1 and Kα2). Structure: a DFT-relaxed cell (GGA-PBE, Alexandria).
Kinematic intensities with the Lorentz-polarization factor, no thermal factor.

Structure:
a = 6.1683 Å, b = 9.8220 Å, c = 17.7295 Å
α = 90.00°, β = 90.00°, γ = 90.00°
Space group Immm (No. 71)
Unique sites:
Cs1 0.0000 0.0000 0.0000
Cs2 0.0000 0.2091 0.5000
Cs3 0.0000 0.2818 0.1672
Au1 0.0000 0.0000 0.3125
Au2 0.0000 0.5000 0.0000
Au3 0.0000 0.5000 0.3566
O1 0.0000 0.2919 0.0000

Most intense lines, 2θ from 10° to 80°, by intensity:
2θ/deg	d [Å]	intensity
27.69	3.221	100
28.95	3.084	27
50.54	1.806	19
30.25	2.955	18
42.36	2.134	15
36.60	2.455	12
47.32	1.921	11
52.18	1.753	9
57.20	1.611	8
68.68	1.367	7
26.73	3.335	7
48.19	1.889	7

Entry 2:
This entry pairs a crystal structure of Cs12Au5O2 with its simulated X-ray diffraction stick pattern. Radiation: Cu Kα (weighted mean of Kα1 and Kα2). Structure: a DFT-relaxed cell (GGA-PBE, Alexandria).
Kinematic intensities with the Lorentz-polarization factor, no thermal factor.

Structure:
a = 19.6995 Å, b = 9.1617 Å, c = 11.3701 Å
α = 90.00°, β = 106.97°, γ = 90.00°
Space group C2/m (No. 12)
Unique sites:
Cs1 0.0006 0.0000 0.1719
Cs2 0.0011 0.5000 0.1750
Cs3 0.1503 0.2530 0.5758
Cs4 0.1516 0.2588 0.0749
Au1 0.0000 0.0000 0.5000
Au2 0.1928 0.5000 0.8441
Au3 0.1966 0.5000 0.3508
O1 0.0000 0.2459 0.0000

Most intense lines, 2θ from 10° to 80°, by intensity:
2θ/deg	d [Å]	intensity
28.79	3.101	100
27.15	3.284	64
17.12	5.180	59
25.41	3.505	56
28.42	3.140	55
18.37	4.831	53
31.47	2.843	37
39.34	2.290	28
52.51	1.743	26
34.63	2.590	25
49.24	1.851	24
54.34	1.688	22

Entry 3:
This entry pairs a crystal structure of CsPm2Au2O6 with its simulated X-ray diffraction stick pattern. Radiation: Cu Kα (weighted mean of Kα1 and Kα2). Structure: a DFT-relaxed cell (GGA-PBE, Alexandria).
Kinematic intensities with the Lorentz-polarization factor, no thermal factor.

Structure:
a = 6.6074 Å, b = 6.7949 Å, c = 6.8553 Å
α = 94.86°, β = 115.22°, γ = 116.62°
Space group P-1 (No. 2)
Unique sites:
Cs1 0.0000 0.0000 0.0000
Pm1 0.3679 0.6860 0.0374
Au1 0.0924 0.7594 0.4725
O1 0.0922 0.5995 0.1936
O2 0.2780 0.3480 0.7919
O3 0.4115 0.8955 0.7849

Most intense lines, 2θ from 10° to 80°, by intensity:
2θ/deg	d [Å]	intensity
29.80	2.998	100
27.10	3.290	92
31.29	2.858	84
30.06	2.973	72
16.18	5.479	58
30.67	2.915	53
29.26	3.052	46
17.61	5.036	41
39.61	2.275	36
51.89	1.762	31
43.09	2.099	30
16.02	5.531	28

Entry 4:
This entry pairs a crystal structure of Cs6PtAu2O with its simulated X-ray diffraction stick pattern. Radiation: Cu Kα (weighted mean of Kα1 and Kα2). Structure: a DFT-relaxed cell (GGA-PBE, Alexandria).
Kinematic intensities with the Lorentz-polarization factor, no thermal factor.

Structure:
a = 8.5510 Å, b = 12.3433 Å, c = 9.3634 Å
α = 90.00°, β = 90.00°, γ = 90.00°
Space group Pmmn (No. 59, origin choice 2)
Unique sites:
Cs1 0.0125 0.2500 0.0828
Cs2 0.0147 0.7500 0.4775
Cs3 0.2500 0.5138 0.7111
Pt1 0.2500 0.2500 0.7966
Au1 0.2500 0.0364 0.3192
O1 0.2500 0.7500 0.7248

Most intense lines, 2θ from 10° to 80°, by intensity:
2θ/deg	d [Å]	intensity
25.34	3.515	100
28.27	3.157	97
28.93	3.087	77
23.86	3.730	60
40.89	2.207	57
32.14	2.785	55
31.66	2.826	41
29.20	3.059	39
55.62	1.652	39
12.59	7.029	32
52.04	1.757	28
42.28	2.138	28

Entry 5:
This entry pairs a crystal structure of Cs4Rb3Au3O2 with its simulated X-ray diffraction stick pattern. Radiation: Cu Kα (weighted mean of Kα1 and Kα2). Structure: a DFT-relaxed cell (GGA-PBE, Alexandria).
Kinematic intensities with the Lorentz-polarization factor, no thermal factor.

Structure:
a = 5.6623 Å, b = 29.3826 Å, c = 5.9044 Å
α = 90.00°, β = 90.00°, γ = 90.00°
Space group Imm2 (No. 44)
Unique sites:
Cs1 0.0000 0.0925 0.9995
Cs2 0.0000 0.1910 0.5000
Rb1 0.0000 0.0000 0.4988
Rb2 0.0000 0.4042 0.9990
Au1 0.0000 0.3213 0.4994
Au2 0.0000 0.5000 0.5027
O1 0.0000 0.0971 0.4999

Most intense lines, 2θ from 10° to 80°, by intensity:
2θ/deg	d [Å]	intensity
28.45	3.138	100
30.27	2.952	31
31.60	2.831	29
54.77	1.676	28
21.76	4.085	26
24.93	3.571	26
44.33	2.043	22
52.66	1.738	18
54.36	1.688	18
30.42	2.938	16
22.58	3.937	12
43.45	2.083	12

Entry 6:
This entry pairs a crystal structure of CsRbAu4O6 with its simulated X-ray diffraction stick pattern. Radiation: Cu Kα (weighted mean of Kα1 and Kα2). Structure: a DFT-relaxed cell (GGA-PBE, Alexandria).
Kinematic intensities with the Lorentz-polarization factor, no thermal factor.

Structure:
a = 6.8009 Å, b = 6.8009 Å, c = 8.2704 Å
α = 90.00°, β = 90.00°, γ = 120.00°
Space group P6/mmm (No. 191)
Unique sites:
Cs1 0.0000 0.0000 0.0000
Rb1 0.0000 0.0000 0.5000
Au1 0.3333 0.6667 0.3127
O1 0.0000 0.5000 0.2626

Most intense lines, 2θ from 10° to 80°, by intensity:
2θ/deg	d [Å]	intensity
26.21	3.400	100
26.33	3.384	59
46.28	1.962	47
42.20	2.141	36
18.49	4.798	19
10.70	8.270	19
73.73	1.285	18
53.93	1.700	18
15.04	5.890	17
57.64	1.599	15
37.49	2.399	13
32.48	2.757	13

Entry 7:
This entry pairs a crystal structure of Cs3Rb4Au3O2 with its simulated X-ray diffraction stick pattern. Radiation: Cu Kα (weighted mean of Kα1 and Kα2). Structure: a DFT-relaxed cell (GGA-PBE, Alexandria).
Kinematic intensities with the Lorentz-polarization factor, no thermal factor.

Structure:
a = 5.8670 Å, b = 29.2960 Å, c = 5.6341 Å
α = 90.00°, β = 90.00°, γ = 90.00°
Space group Imm2 (No. 44)
Unique sites:
Cs1 0.0000 0.0000 0.0000
Cs2 0.0000 0.4036 0.4976
Rb1 0.0000 0.1014 0.4986
Rb2 0.0000 0.1943 0.9990
Au1 0.0000 0.3166 0.9972
Au2 0.0000 0.5000 0.9990
O1 0.0000 0.1029 0.9987

Most intense lines, 2θ from 10° to 80°, by intensity:
2θ/deg	d [Å]	intensity
28.58	3.123	100
30.49	2.932	59
25.06	3.553	48
44.61	2.031	42
55.00	1.669	38
31.76	2.817	32
21.88	4.063	31
52.99	1.728	18
43.67	2.073	18
54.65	1.680	18
72.70	1.301	15
74.77	1.270	10

Entry 8:
This entry pairs a crystal structure of CsRb3AuO with its simulated X-ray diffraction stick pattern. Radiation: Cu Kα (weighted mean of Kα1 and Kα2). Structure: a DFT-relaxed cell (GGA-PBE, Alexandria).
Kinematic intensities with the Lorentz-polarization factor, no thermal factor.

Structure:
a = 7.5217 Å, b = 26.5623 Å, c = 6.4173 Å
α = 90.00°, β = 92.95°, γ = 90.00°
Space group C2/c (No. 15)
Unique sites:
Cs1 0.0000 0.2088 0.2500
Rb1 0.0000 0.3644 0.2500
Rb2 0.2061 0.4662 0.9261
Au1 0.0000 0.2939 0.7500
O1 0.0000 0.4610 0.2500

Most intense lines, 2θ from 10° to 80°, by intensity:
2θ/deg	d [Å]	intensity
24.44	3.643	100
24.63	3.614	64
12.24	7.228	38
35.86	2.504	37
28.66	3.115	36
19.25	4.611	33
31.27	2.861	31
13.33	6.641	30
39.29	2.293	30
33.77	2.654	29
38.41	2.344	24
30.13	2.966	18

Q: What is the formula in the seventh record?
A: Cs3Rb4Au3O2

Repeat the seventh record exactly.
This entry pairs a crystal structure of Cs3Rb4Au3O2 with its simulated X-ray diffraction stick pattern. Radiation: Cu Kα (weighted mean of Kα1 and Kα2). Structure: a DFT-relaxed cell (GGA-PBE, Alexandria).
Kinematic intensities with the Lorentz-polarization factor, no thermal factor.

Structure:
a = 5.8670 Å, b = 29.2960 Å, c = 5.6341 Å
α = 90.00°, β = 90.00°, γ = 90.00°
Space group Imm2 (No. 44)
Unique sites:
Cs1 0.0000 0.0000 0.0000
Cs2 0.0000 0.4036 0.4976
Rb1 0.0000 0.1014 0.4986
Rb2 0.0000 0.1943 0.9990
Au1 0.0000 0.3166 0.9972
Au2 0.0000 0.5000 0.9990
O1 0.0000 0.1029 0.9987

Most intense lines, 2θ from 10° to 80°, by intensity:
2θ/deg	d [Å]	intensity
28.58	3.123	100
30.49	2.932	59
25.06	3.553	48
44.61	2.031	42
55.00	1.669	38
31.76	2.817	32
21.88	4.063	31
52.99	1.728	18
43.67	2.073	18
54.65	1.680	18
72.70	1.301	15
74.77	1.270	10